No. 1
The following is a computed powder diffraction line list of YBi4Pd15. It was derived from a cell relaxed with GGA-PBE, using copper Kα.
Lines closer than 0.1° are merged.

Structure:
```
data_YBi4Pd15
_cell_length_a 4.1428
_cell_length_b 4.1428
_cell_length_c 20.6361
_cell_angle_alpha 90.00
_cell_angle_beta 90.00
_cell_angle_gamma 90.00
_space_group_name_H-M_alt 'P 4/m m m'
_space_group_IT_number 123
_space_group_name_Hall '-P 4 2'
loop_
_atom_site_label
_atom_site_type_symbol
_atom_site_fract_x
_atom_site_fract_y
_atom_site_fract_z
Y1 Y 0.0000 0.0000 0.0000
Bi1 Bi 0.0000 0.0000 0.1982
Bi2 Bi 0.0000 0.0000 0.3996
Pd1 Pd 0.0000 0.5000 0.1000
Pd2 Pd 0.0000 0.5000 0.2997
Pd3 Pd 0.0000 0.5000 0.5000
Pd4 Pd 0.5000 0.5000 0.0000
Pd5 Pd 0.5000 0.5000 0.2019
Pd6 Pd 0.5000 0.5000 0.3998
```

The 6 most intense peaks (10 to 80 degrees two-theta), by angle:
2theta  intensity  (hkl)
37.65  100  1 1 5
43.70  33  2 0 0
43.87  16  0 0 10
63.65  21  2 0 10
76.25  25  3 1 5
76.50  12  1 1 15


No. 2
The following is a computed powder diffraction line list of CoNiSn4. It was derived from a cell relaxed with GGA-PBE, using copper Kα.
Lines closer than 0.1° are merged.

Structure:
```
data_CoNiSn4
_cell_length_a 4.4204
_cell_length_b 4.4204
_cell_length_c 6.2357
_cell_angle_alpha 90.00
_cell_angle_beta 90.00
_cell_angle_gamma 90.00
_space_group_name_H-M_alt 'P 4/m m m'
_space_group_IT_number 123
_space_group_name_Hall '-P 4 2'
loop_
_atom_site_label
_atom_site_type_symbol
_atom_site_fract_x
_atom_site_fract_y
_atom_site_fract_z
Co1 Co 0.0000 0.0000 0.0000
Ni1 Ni 0.5000 0.5000 0.5000
Sn1 Sn 0.0000 0.5000 0.2476
```

The 6 most intense peaks (10 to 80 degrees two-theta), by angle:
2theta  intensity  (hkl)
28.58  44  1 1 0
40.86  100  2 0 0
50.62  13  2 0 2
66.96  12  3 1 0
74.37  23  3 1 2
74.48  12  2 0 4


No. 3
The following is a computed powder diffraction line list of Ca2NiH6Ir. It was derived from a cell relaxed with GGA-PBE, using copper Kα.
Lines closer than 0.1° are merged.

Structure:
```
data_Ca2NiH6Ir
_cell_length_a 7.1899
_cell_length_b 7.1973
_cell_length_c 7.3205
_cell_angle_alpha 90.00
_cell_angle_beta 90.00
_cell_angle_gamma 90.00
_space_group_name_H-M_alt 'F m m m'
_space_group_IT_number 69
_space_group_name_Hall '-F 2 2'
loop_
_atom_site_label
_atom_site_type_symbol
_atom_site_fract_x
_atom_site_fract_y
_atom_site_fract_z
Ca1 Ca 0.2500 0.2500 0.2500
Ni1 Ni 0.0000 0.0000 0.0000
H1 H 0.0000 0.0000 0.2530
H2 H 0.0000 0.2496 0.0000
H3 H 0.2495 0.0000 0.0000
Ir1 Ir 0.0000 0.0000 0.5000
```

The 6 most intense peaks (10 to 80 degrees two-theta), by angle:
2theta  intensity  (hkl)
21.27  46  1 1 1
24.75  31  2 0 0
34.98  100  2 0 2
35.29  49  2 2 0
62.53  18  2 2 4
63.14  35  4 2 2


No. 4
The following is a computed powder diffraction line list of Ir3Rh4. It was derived from a cell relaxed with GGA-PBE, using copper Kα.
Lines closer than 0.1° are merged.

Structure:
```
data_Ir3Rh4
_cell_length_a 12.8428
_cell_length_b 2.7171
_cell_length_c 6.6194
_cell_angle_alpha 90.00
_cell_angle_beta 116.35
_cell_angle_gamma 90.00
_space_group_name_H-M_alt 'C 1 2/m 1'
_space_group_IT_number 12
loop_
_space_group_symop_operation_xyz
'x,y,z'
'-x,-y,-z'
'-x,y,-z'
'x,-y,z'
'x+1/2,y+1/2,z'
'-x+1/2,-y+1/2,-z'
'-x+1/2,y+1/2,-z'
'x+1/2,-y+1/2,z'
loop_
_atom_site_label
_atom_site_type_symbol
_atom_site_fract_x
_atom_site_fract_y
_atom_site_fract_z
Ir1 Ir 0.0000 0.0000 0.0000
Ir2 Ir 0.2267 0.0000 0.1488
Rh1 Rh 0.0790 0.0000 0.7026
Rh2 Rh 0.1343 0.5000 0.3906
```

The 6 most intense peaks (10 to 80 degrees two-theta), by angle:
2theta  intensity  (hkl)
35.74  46  1 1 -1
39.57  86  3 1 -1
40.46  100  4 0 1
41.17  95  2 0 -3
43.34  81  6 0 -2
43.46  58  1 1 -2


No. 5
The following is a computed powder diffraction line list of Ho2ThMn. It was derived from a cell relaxed with GGA-PBE, using copper Kα.
Lines closer than 0.1° are merged.

Structure:
```
data_Ho2ThMn
_cell_length_a 3.4811
_cell_length_b 3.4811
_cell_length_c 8.7986
_cell_angle_alpha 90.00
_cell_angle_beta 90.00
_cell_angle_gamma 90.00
_space_group_name_H-M_alt 'P 4/m m m'
_space_group_IT_number 123
_space_group_name_Hall '-P 4 2'
loop_
_atom_site_label
_atom_site_type_symbol
_atom_site_fract_x
_atom_site_fract_y
_atom_site_fract_z
Ho1 Ho 0.0000 0.0000 0.2016
Th1 Th 0.5000 0.5000 0.5000
Mn1 Mn 0.5000 0.5000 0.0000
```

The 6 most intense peaks (10 to 80 degrees two-theta), by angle:
2theta  intensity  (hkl)
27.56  36  1 0 1
30.48  18  0 0 3
32.81  100  1 0 2
36.50  46  1 1 0
48.27  21  1 1 3
63.38  32  2 1 2


No. 6
The following is a computed powder diffraction line list of NpPdO4. It was derived from a cell relaxed with GGA-PBE, using copper Kα.
Lines closer than 0.1° are merged.

Structure:
```
data_NpPdO4
_cell_length_a 6.5976
_cell_length_b 6.5976
_cell_length_c 7.6811
_cell_angle_alpha 90.00
_cell_angle_beta 90.00
_cell_angle_gamma 90.00
_space_group_name_H-M_alt 'I 41/a m d'
_space_group_IT_number 141
loop_
_space_group_symop_operation_xyz
'x,y,z'
'-x,-y,-z'
'-y+1/4,x+3/4,z+1/4'
'y+1/4,-x+3/4,-z+1/4'
'-x+1/2,-y,z+1/2'
'x+1/2,y,-z+1/2'
'y+1/4,-x+1/4,z+3/4'
'-y+1/4,x+1/4,-z+3/4'
'x,-y,-z'
'-x,y,z'
'-y+1/4,-x+1/4,-z+3/4'
'y+1/4,x+1/4,z+3/4'
'-x+1/2,y,-z+1/2'
'x+1/2,-y,z+1/2'
'y+1/4,x+3/4,-z+1/4'
'-y+1/4,-x+3/4,z+1/4'
'x+1/2,y+1/2,z+1/2'
'-x+1/2,-y+1/2,-z+1/2'
'-y+3/4,x+1/4,z+3/4'
'y+3/4,-x+1/4,-z+3/4'
'-x,-y+1/2,z'
'x,y+1/2,-z'
'y+3/4,-x+3/4,z+1/4'
'-y+3/4,x+3/4,-z+1/4'
'x+1/2,-y+1/2,-z+1/2'
'-x+1/2,y+1/2,z+1/2'
'-y+3/4,-x+3/4,-z+1/4'
'y+3/4,x+3/4,z+1/4'
'-x,y+1/2,-z'
'x,-y+1/2,z'
'y+3/4,x+1/4,-z+3/4'
'-y+3/4,-x+1/4,z+3/4'
loop_
_atom_site_label
_atom_site_type_symbol
_atom_site_fract_x
_atom_site_fract_y
_atom_site_fract_z
Np1 Np 0.0000 0.2500 0.3750
Pd1 Pd 0.0000 0.2500 0.8750
O1 O 0.0000 0.0467 0.6621
```

The 6 most intense peaks (10 to 80 degrees two-theta), by angle:
2theta  intensity  (hkl)
17.72  31  1 0 1
27.03  76  2 0 0
30.14  100  1 1 2
38.60  20  2 2 0
49.73  61  3 1 2
55.36  21  2 0 4


No. 7
The following is a computed powder diffraction line list of Tm3ThMg12. It was derived from a cell relaxed with GGA-PBE, using copper Kα.
Lines closer than 0.1° are merged.

Structure:
```
data_Tm3ThMg12
_cell_length_a 4.6193
_cell_length_b 4.6193
_cell_length_c 18.9824
_cell_angle_alpha 90.00
_cell_angle_beta 90.00
_cell_angle_gamma 90.00
_space_group_name_H-M_alt 'P 4/m m m'
_space_group_IT_number 123
_space_group_name_Hall '-P 4 2'
loop_
_atom_site_label
_atom_site_type_symbol
_atom_site_fract_x
_atom_site_fract_y
_atom_site_fract_z
Tm1 Tm 0.0000 0.0000 0.0000
Tm2 Tm 0.0000 0.0000 0.2479
Th1 Th 0.0000 0.0000 0.5000
Mg1 Mg 0.0000 0.5000 0.1238
Mg2 Mg 0.0000 0.5000 0.3711
Mg3 Mg 0.5000 0.5000 0.0000
Mg4 Mg 0.5000 0.5000 0.2464
Mg5 Mg 0.5000 0.5000 0.5000
```

The 6 most intense peaks (10 to 80 degrees two-theta), by angle:
2theta  intensity  (hkl)
18.70  37  0 0 4
19.21  69  1 0 0
26.94  62  1 0 4
27.30  30  1 1 0
33.30  100  1 1 4
39.00  33  2 0 0